Diffraction record for InGe2Pd7. The powder XRD pattern is theoretical, not measured: it uses a structure optimized by DFT (PBE) and Cu Kα X-rays.
No peak broadening, texture or thermal motion is included.

Structure:
Cell lengths 4.077, 4.077, 20.033 Å; angles 90.00, 90.00, 90.00 degrees
Space group I4/mmm (No. 139)
One atom of each set of equivalent atoms:
In (0.000, 0.000, 0.000) (multiplicity 2)
Ge (0.000, 0.000, 0.326) (multiplicity 4)
Pd (0.000, 0.000, 0.500) (multiplicity 2)
Pd (0.000, 0.500, 0.101) (multiplicity 8)
Pd (0.000, 0.500, 0.250) (multiplicity 4)

Principal peaks in the range 2θ from 10° to 80°, in order of rising 2θ:
| two_theta | I_rel | index |
| --- | --- | --- |
| 25.6 | 11 | 1 0 3 |
| 31.0 | 10 | 1 1 0 |
| 32.3 | 12 | 1 1 2 |
| 35.9 | 28 | 0 0 8 |
| 41.4 | 100 | 1 1 6 |
| 44.4 | 50 | 2 0 0 |
| 58.4 | 10 | 2 0 8 |
| 64.7 | 16 | 2 2 0 |
| 73.3 | 9 | 2 0 12 |
| 74.0 | 9 | 1 1 14 |
| 76.2 | 8 | 2 2 8 |
| 79.7 | 28 | 3 1 6 |